[1]
Simulated X-ray diffraction stick pattern
Compound: Dy2ReC2
Radiation: Cu Kα (weighted mean of Kα1 and Kα2)
Structure: a GGA-PBE-relaxed structure
Neutral-atom scattering factors, no anomalous dispersion.

Most intense lines, 10 to 80 degrees two-theta, by angle:
2θ = 30.43°, intensity 17, (1 0 3); 2θ = 32.40°, intensity 100, (0 1 3); 2θ = 32.78°, intensity 23, (2 0 2); 2θ = 33.69°, intensity 88, (2 1 1); 2θ = 35.10°, intensity 62, (0 2 0); 2θ = 35.23°, intensity 48, (1 1 3); 2θ = 48.78°, intensity 15, (2 2 2); 2θ = 59.25°, intensity 27, (3 1 4); 2θ = 61.27°, intensity 17, (0 3 3); 2θ = 62.07°, intensity 16, (2 3 1)

Cell lengths 6.5666, 5.1138, 9.8547 Å; angles 90.00, 90.00, 90.00 degrees
Space group Pnma (No. 62)
Inequivalent atoms, fractional coordinates:
Dy  0.0318  0.2500  0.2160 (multiplicity 4)
Dy  0.1807  0.2500  0.5556 (multiplicity 4)
Re  0.2211  0.2500  0.8661 (multiplicity 4)
C  0.0454  0.7500  0.2411 (multiplicity 4)
C  0.1762  0.7500  0.5501 (multiplicity 4)

---

[2]
Simulated X-ray diffraction stick pattern
Compound: Si17Ge13PPd
Radiation: Cu Kα (weighted mean of Kα1 and Kα2)
Structure: a GGA-PBE-relaxed structure
Neutral-atom scattering factors, no anomalous dispersion.

Most intense lines, 10 to 80 degrees two-theta, by angle:
2θ = 27.44°, intensity 48, (2 0 0); 2θ = 27.83°, intensity 100, (0 3 1); 2θ = 28.03°, intensity 52, (1 2 -2); 2θ = 45.76°, intensity 24, (-2 3 1); 2θ = 45.86°, intensity 24, (3 1 3); 2θ = 45.99°, intensity 23, (3 2 -2); 2θ = 46.22°, intensity 23, (1 4 4); 2θ = 46.49°, intensity 23, (0 1 -5); 2θ = 46.66°, intensity 23, (1 5 -1); 2θ = 54.34°, intensity 15, (3 -2 2)

Cell lengths 6.8728, 10.3302, 10.3719 Å; angles 81.24, 83.75, 71.42 degrees
Space group P1 (No. 1)
Inequivalent atoms, fractional coordinates:
Si  0.0000  0.0000  0.0000 (multiplicity 1)
Si  0.9996  0.1298  0.6249 (multiplicity 1)
Si  0.0024  0.3689  0.8757 (multiplicity 1)
Si  0.0085  0.7435  0.7497 (multiplicity 1)
Si  0.1231  0.1397  0.8276 (multiplicity 1)
Si  0.1273  0.0076  0.2022 (multiplicity 1)
Si  0.1271  0.5091  0.7063 (multiplicity 1)
Si  0.1279  0.8929  0.5851 (multiplicity 1)
Si  0.4928  0.8079  0.5721 (multiplicity 1)
Si  0.4944  0.4311  0.6879 (multiplicity 1)
Si  0.5010  0.3003  0.0683 (multiplicity 1)
Si  0.5039  0.6793  0.9454 (multiplicity 1)
Si  0.6224  0.5766  0.5271 (multiplicity 1)
Si  0.6254  0.6938  0.1456 (multiplicity 1)
Si  0.6334  0.0735  0.0164 (multiplicity 1)
Si  0.6363  0.1991  0.6394 (multiplicity 1)
Si  0.9833  0.4828  0.5188 (multiplicity 1)
Ge  0.0093  0.2337  0.2700 (multiplicity 1)
Ge  0.0112  0.8660  0.3820 (multiplicity 1)
Ge  0.1221  0.6208  0.3435 (multiplicity 1)
Ge  0.1282  0.3770  0.0825 (multiplicity 1)
Ge  0.1305  0.7633  0.9538 (multiplicity 1)
Ge  0.4992  0.0611  0.8138 (multiplicity 1)
Ge  0.5004  0.9323  0.1886 (multiplicity 1)
Ge  0.5023  0.5533  0.3238 (multiplicity 1)
Ge  0.6274  0.4438  0.8943 (multiplicity 1)
Ge  0.6324  0.3132  0.2726 (multiplicity 1)
Ge  0.6320  0.9456  0.4001 (multiplicity 1)
Ge  0.6348  0.8182  0.7712 (multiplicity 1)
Ge  0.9980  0.6175  0.1301 (multiplicity 1)
P  0.5136  0.1762  0.4497 (multiplicity 1)
Pd  0.1533  0.2602  0.4667 (multiplicity 1)

---

[3]
Simulated X-ray diffraction stick pattern
Compound: La2Sm2C2I2Cl3
Radiation: Cu Kα (weighted mean of Kα1 and Kα2)
Structure: a GGA-PBE-relaxed structure
Neutral-atom scattering factors, no anomalous dispersion.

Most intense lines, 10 to 80 degrees two-theta, by angle:
2θ = 11.15°, intensity 85, (0 0 1); 2θ = 25.00°, intensity 25, (1 1 -1); 2θ = 27.42°, intensity 82, (6 0 0); 2θ = 31.46°, intensity 100, (1 1 -2); 2θ = 32.38°, intensity 22, (5 1 -1); 2θ = 39.06°, intensity 21, (6 0 -3); 2θ = 42.06°, intensity 31, (7 1 -2); 2θ = 42.37°, intensity 42, (5 1 2); 2θ = 45.56°, intensity 20, (0 2 0); 2θ = 54.00°, intensity 20, (6 2 0)

Cell lengths 19.9727, 3.9824, 8.1250 Å; angles 90.00, 102.32, 90.00 degrees
Space group C2/m (No. 12)
Inequivalent atoms, fractional coordinates:
La  0.0013  0.0000  0.2114 (multiplicity 4)
Sm  0.1504  0.5000  0.0936 (multiplicity 4)
C  0.0359  0.5000  0.0199 (multiplicity 4)
I  0.1706  0.0000  0.8056 (multiplicity 4)
Cl  0.0000  0.5000  0.5000 (multiplicity 2)
Cl  0.1544  0.0000  0.3358 (multiplicity 4)

---

[4]
Simulated X-ray diffraction stick pattern
Compound: HoSi2Ni10
Radiation: Cu Kα (weighted mean of Kα1 and Kα2)
Structure: a GGA-PBE-relaxed structure
Neutral-atom scattering factors, no anomalous dispersion.

Most intense lines, 10 to 80 degrees two-theta, by angle:
2θ = 31.15°, intensity 21, (2 1 1); 2θ = 34.83°, intensity 10, (3 1 0); 2θ = 38.36°, intensity 33, (3 0 1); 2θ = 38.60°, intensity 16, (0 0 2); 2θ = 44.54°, intensity 100, (4 0 0); 2θ = 44.77°, intensity 35, (2 0 2); 2θ = 50.12°, intensity 10, (4 2 0); 2θ = 50.34°, intensity 14, (2 2 2); 2θ = 64.77°, intensity 6, (4 4 0); 2θ = 74.00°, intensity 12, (3 2 3)

Cell lengths 8.1455, 8.1455, 4.6654 Å; angles 90.00, 90.00, 90.00 degrees
Space group P4/nmm (No. 129, origin choice 2)
Inequivalent atoms, fractional coordinates:
Ho  0.2500  0.2500  0.2231 (multiplicity 2)
Si  0.0000  0.0000  0.5000 (multiplicity 4)
Ni  0.0000  0.0000  0.0000 (multiplicity 4)
Ni  0.0272  0.2500  0.7303 (multiplicity 8)
Ni  0.1028  0.7500  0.7606 (multiplicity 8)

---

[5]
Simulated X-ray diffraction stick pattern
Compound: Y2Ni2B3N
Radiation: Cu Kα (weighted mean of Kα1 and Kα2)
Structure: a GGA-PBE-relaxed structure
Neutral-atom scattering factors, no anomalous dispersion.

Most intense lines, 10 to 80 degrees two-theta, by angle:
2θ = 27.32°, intensity 74, (1 0 1); 2θ = 34.44°, intensity 56, (1 0 2); 2θ = 36.02°, intensity 56, (0 0 3); 2θ = 37.05°, intensity 100, (1 1 1); 2θ = 42.74°, intensity 76, (1 1 2); 2θ = 50.30°, intensity 49, (2 0 0); 2θ = 58.18°, intensity 19, (2 1 1); 2θ = 61.35°, intensity 24, (1 1 4); 2θ = 62.39°, intensity 20, (2 1 2); 2θ = 63.42°, intensity 40, (2 0 3)

Cell lengths 3.6279, 3.6279, 7.4794 Å; angles 90.00, 90.00, 90.00 degrees
Space group P4mm (No. 99)
Inequivalent atoms, fractional coordinates:
Y  0.0000  0.0000  0.0000 (multiplicity 1)
Y  0.5000  0.5000  0.3383 (multiplicity 1)
Ni  0.0000  0.5000  0.6577 (multiplicity 2)
B  0.0000  0.0000  0.5100 (multiplicity 1)
B  0.5000  0.5000  0.0008 (multiplicity 1)
B  0.5000  0.5000  0.7847 (multiplicity 1)
N  0.0000  0.0000  0.3171 (multiplicity 1)

---

[6]
Simulated X-ray diffraction stick pattern
Compound: Cs3RbAg2Bi2
Radiation: Cu Kα (weighted mean of Kα1 and Kα2)
Structure: a GGA-PBE-relaxed structure
Neutral-atom scattering factors, no anomalous dispersion.

Most intense lines, 10 to 80 degrees two-theta, by angle:
2θ = 15.32°, intensity 41, (1 0 -1); 2θ = 24.31°, intensity 36, (1 1 1); 2θ = 25.46°, intensity 28, (2 0 -1); 2θ = 26.14°, intensity 38, (0 2 0); 2θ = 28.36°, intensity 94, (1 1 -2); 2θ = 28.67°, intensity 100, (2 1 -1); 2θ = 29.11°, intensity 25, (0 2 1); 2θ = 33.42°, intensity 60, (1 2 1); 2θ = 47.17°, intensity 33, (3 0 -3); 2θ = 47.74°, intensity 39, (2 3 -1)

Cell lengths 7.1654, 6.8191, 7.2944 Å; angles 90.00, 106.23, 90.00 degrees
Space group Pm (No. 6)
Inequivalent atoms, fractional coordinates:
Cs  0.0000  0.0000  0.0000 (multiplicity 1)
Cs  0.0433  0.5000  0.3477 (multiplicity 1)
Cs  0.6982  0.5000  0.6914 (multiplicity 1)
Rb  0.3446  0.0000  0.6599 (multiplicity 1)
Ag  0.5213  0.2505  0.1701 (multiplicity 2)
Bi  0.2651  0.5000  0.9107 (multiplicity 1)
Bi  0.7695  0.0000  0.4351 (multiplicity 1)

---

[7]
Simulated X-ray diffraction stick pattern
Compound: CuPt3Au2
Radiation: Cu Kα (weighted mean of Kα1 and Kα2)
Structure: a GGA-PBE-relaxed structure
Neutral-atom scattering factors, no anomalous dispersion.

Most intense lines, 10 to 80 degrees two-theta, by angle:
2θ = 32.15°, intensity 7, (0 0 5); 2θ = 38.82°, intensity 29, (0 0 6); 2θ = 39.16°, intensity 100, (0 1 2); 2θ = 45.43°, intensity 61, (1 0 4); 2θ = 65.96°, intensity 17, (0 1 8); 2θ = 66.44°, intensity 21, (1 1 0); 2θ = 72.37°, intensity 7, (1 0 9); 2θ = 79.25°, intensity 9, (1 0 10); 2θ = 79.70°, intensity 22, (1 1 6); 2θ = 79.92°, intensity 13, (2 0 2)

Cell lengths 2.8143, 2.8143, 13.9200 Å; angles 90.00, 90.00, 120.00 degrees
Space group P-3m1 (No. 164)
Inequivalent atoms, fractional coordinates:
Cu  0.0000  0.0000  0.0000 (multiplicity 1)
Pt  0.0000  0.0000  0.5000 (multiplicity 1)
Pt  0.3333  0.6667  0.1514 (multiplicity 2)
Au  0.3333  0.6667  0.6739 (multiplicity 2)

---

[8]
Simulated X-ray diffraction stick pattern
Compound: NaH6IrO6F
Radiation: Cu Kα (weighted mean of Kα1 and Kα2)
Structure: a GGA-PBE-relaxed structure
Neutral-atom scattering factors, no anomalous dispersion.

Most intense lines, 10 to 80 degrees two-theta, by angle:
2θ = 18.87°, intensity 100, (1 0 1); 2θ = 20.49°, intensity 30, (0 0 3); 2θ = 22.31°, intensity 86, (0 1 2); 2θ = 30.69°, intensity 34, (1 1 0); 2θ = 32.78°, intensity 24, (1 0 4); 2θ = 37.19°, intensity 50, (2 -1 3); 2θ = 38.27°, intensity 26, (2 0 2); 2θ = 38.97°, intensity 16, (0 1 5); 2θ = 49.84°, intensity 18, (3 -2 2); 2θ = 52.65°, intensity 23, (1 1 6)

Cell lengths 5.8256, 5.8256, 13.0007 Å; angles 90.00, 90.00, 120.00 degrees
Space group R3 (No. 146, hexagonal axes)
Inequivalent atoms, fractional coordinates:
Na  0.0000  0.0000  0.0000 (multiplicity 3)
H  0.0173  0.7688  0.2060 (multiplicity 9)
H  0.1473  0.3375  0.4514 (multiplicity 9)
Ir  0.0000  0.0000  0.6369 (multiplicity 3)
O  0.0294  0.6007  0.2153 (multiplicity 9)
O  0.0752  0.3733  0.3820 (multiplicity 9)
F  0.0000  0.0000  0.1841 (multiplicity 3)